The following is a computed powder diffractogram of Pm2Ga6AgAu. It was derived from a crystal structure in Alexandria, relaxed with GGA-PBE, using λ = 1.5418 Å (Cu Kα).
Kinematic intensities with the Lorentz-polarization factor, no thermal factor.

Largest 8 diffraction maxima, in order of rising 2θ, 10° ≤ 2θ ≤ 80°:
d (Å)	two_theta	I/Imax
5.138	17.26	364
3.277	27.21	419
3.061	29.17	955
2.554	35.14	684
2.526	35.53	478
2.422	37.12	1000
2.339	38.50	490
1.531	60.49	461

Cell and atoms:
```
data_Pm2Ga6AgAu
_chemical_formula_sum 'Pm12 Ga36 Ag6 Au6'
_space_group_name_H-M_alt 'R -3 m'
_space_group_IT_number 166
_space_group_name_Hall '-R 3 2"'
_cell_length_a 6.1223
_cell_length_b 6.1223
_cell_length_c 41.6920
_cell_angle_alpha 90.00
_cell_angle_beta 90.00
_cell_angle_gamma 120.00
loop_
_atom_site_label
_atom_site_type_symbol
_atom_site_fract_x
_atom_site_fract_y
_atom_site_fract_z
_atom_site_occupancy
Pm1 Pm 0.0000 0.0000 0.1154 1
Pm2 Pm 0.0000 0.0000 0.3134 1
Ga1 Ga 0.0139 0.5069 0.2870 1
Ga2 Ga 0.0624 0.5312 0.8691 1
Ag1 Ag 0.0000 0.0000 0.0000 1
Ag2 Ag 0.0000 0.0000 0.5000 1
Au1 Au 0.0000 0.0000 0.4284 1
```

***

The following is a computed powder diffractogram of Be23Mo6. It was derived from a crystal structure in Alexandria, relaxed with GGA-PBE, using λ = 1.5418 Å (Cu Kα).
Kinematic intensities with the Lorentz-polarization factor, no thermal factor.

Largest 8 diffraction maxima, in order of rising 2θ, 10° ≤ 2θ ≤ 80°:
d (Å)	two_theta	I/Imax
5.935	14.93	837
5.140	17.25	607
2.968	30.11	857
2.570	34.91	405
2.358	38.16	570
2.098	43.11	420
1.978	45.87	1000
1.211	79.04	312

Cell and atoms:
```
data_Be23Mo6
_chemical_formula_sum 'Be92 Mo24'
_space_group_name_H-M_alt 'F m -3 m'
_space_group_IT_number 225
_space_group_name_Hall '-F 4 2 3'
_cell_length_a 10.280
_cell_length_b 10.280
_cell_length_c 10.280
_cell_angle_alpha 90.00
_cell_angle_beta 90.00
_cell_angle_gamma 90.00
loop_
_atom_site_label
_atom_site_type_symbol
_atom_site_fract_x
_atom_site_fract_y
_atom_site_fract_z
_atom_site_occupancy
Be1 Be 0.000 0.000 0.000 1
Be2 Be 0.000 0.250 0.250 1
Be3 Be 0.120 0.120 0.120 1
Be4 Be 0.173 0.173 0.327 1
Mo1 Mo 0.000 0.000 0.306 1
```